# AcPS5
Calculated X-ray powder pattern, λ = 1.5418 Å (Cu Kα). Input: a structure optimized by DFT (GGA-PBE).
No peak broadening, texture or thermal motion is included.

Top 12 peaks for 10° ≤ 2θ ≤ 80°, low angle first:
2θ/deg, Rel. int.
15.1, 87
16.4, 100
19.0, 62
21.2, 42
22.4, 29
24.0, 47
30.4, 31
31.7, 36
33.1, 41
35.7, 25
36.1, 46
38.8, 27

Atomic structure:
a = 5.647 Å, b = 6.116 Å, c = 10.903 Å
α = 94.84°, β = 92.19°, γ = 105.91°
Atoms (fractional coordinates):
Ac 0.040 0.035 0.256
Ac 0.960 0.965 0.744
P 0.500 0.000 0.500
P 0.500 0.500 0.000
S 0.148 0.568 0.266
S 0.177 0.224 0.003
S 0.244 0.184 0.532
S 0.404 0.815 0.663
S 0.440 0.701 0.165
S 0.560 0.299 0.835
S 0.596 0.185 0.337
S 0.756 0.816 0.468
S 0.823 0.776 0.997
S 0.852 0.432 0.734

---

# ErTlSe4
Calculated X-ray powder pattern, λ = 1.5418 Å (Cu Kα). Input: a structure optimized by DFT (GGA-PBE).
No peak broadening, texture or thermal motion is included.

Top 12 peaks for 10° ≤ 2θ ≤ 80°, low angle first:
2θ/deg, Rel. int.
20.1, 29
28.6, 23
29.4, 100
33.9, 32
35.9, 43
40.9, 13
46.0, 44
46.6, 16
48.1, 11
63.7, 19
65.0, 18
67.5, 13

Atomic structure:
a = 6.235 Å, b = 6.235 Å, c = 8.378 Å
α = 90.00°, β = 90.00°, γ = 90.00°
Atoms (fractional coordinates):
Er 0.250 0.250 0.000
Er 0.750 0.750 0.000
Tl 0.250 0.250 0.500
Tl 0.750 0.750 0.500
Se 0.112 0.612 0.205
Se 0.112 0.888 0.795
Se 0.388 0.612 0.795
Se 0.388 0.888 0.205
Se 0.612 0.112 0.795
Se 0.612 0.388 0.205
Se 0.888 0.112 0.205
Se 0.888 0.388 0.795

---

- What is the formula in the second record?
  ErTlSe4

---

Repeat the first record exactly.
# AcPS5
Calculated X-ray powder pattern, λ = 1.5418 Å (Cu Kα). Input: a structure optimized by DFT (GGA-PBE).
No peak broadening, texture or thermal motion is included.

Top 12 peaks for 10° ≤ 2θ ≤ 80°, low angle first:
2θ/deg, Rel. int.
15.1, 87
16.4, 100
19.0, 62
21.2, 42
22.4, 29
24.0, 47
30.4, 31
31.7, 36
33.1, 41
35.7, 25
36.1, 46
38.8, 27

Atomic structure:
a = 5.647 Å, b = 6.116 Å, c = 10.903 Å
α = 94.84°, β = 92.19°, γ = 105.91°
Atoms (fractional coordinates):
Ac 0.040 0.035 0.256
Ac 0.960 0.965 0.744
P 0.500 0.000 0.500
P 0.500 0.500 0.000
S 0.148 0.568 0.266
S 0.177 0.224 0.003
S 0.244 0.184 0.532
S 0.404 0.815 0.663
S 0.440 0.701 0.165
S 0.560 0.299 0.835
S 0.596 0.185 0.337
S 0.756 0.816 0.468
S 0.823 0.776 0.997
S 0.852 0.432 0.734